No. 1
Calculated powder diffraction line list
Compound: La6CoPb2O
Radiation: Cu Kα, 1.54184 Å
Structure: the PBE+U geometry in Alexandria
Kinematic intensities with the Lorentz-polarization factor, no thermal factor.

Top 10 peaks for 5° ≤ 2θ ≤ 70°, sorted by position:
Position (°2θ)  d [Å]  I_rel
29.35  3.043  100
33.38  2.684  23
34.03  2.634  22
34.63  2.591  21
48.41  1.880  16
48.86  1.864  16
49.34  1.847  15
57.20  1.611  15
58.06  1.589  15
60.88  1.522  16

Atomic structure:
```
data_La6CoPb2O
_chemical_formula_sum 'La6 Co1 Pb2 O1'
_cell_length_a 7.4609
_cell_length_b 7.4609
_cell_length_c 7.3874
_cell_angle_alpha 119.13
_cell_angle_beta 119.13
_cell_angle_gamma 92.04
_symmetry_space_group_name_H-M 'P 1'
_symmetry_Int_Tables_number 1
loop_
_symmetry_equiv_pos_as_xyz
'x,y,z'
loop_
_atom_site_label
_atom_site_fract_x
_atom_site_fract_y
_atom_site_fract_z
_atom_site_occupancy
La1 0.2377 0.7623 0.0000 1
La2 0.2449 0.2449 0.4915 1
La3 0.2541 0.2541 0.0007 1
La4 0.7459 0.7459 0.9993 1
La5 0.7551 0.7551 0.5085 1
La6 0.7623 0.2377 0.0000 1
Co1 0.5000 0.5000 0.0000 1
Pb1 0.2500 0.7500 0.5000 1
Pb2 0.7500 0.2500 0.5000 1
O1 0.0000 0.0000 0.0000 1
```

***

No. 2
Calculated powder diffraction line list
Compound: LaCoSbPbO6
Radiation: Cu Kα, 1.54184 Å
Structure: the PBE+U geometry in Alexandria
Kinematic intensities with the Lorentz-polarization factor, no thermal factor.

Top 10 peaks for 5° ≤ 2θ ≤ 70°, sorted by position:
Position (°2θ)  d [Å]  I_rel
21.83  4.071  6
30.87  2.897  19
31.23  2.864  100
44.51  2.036  20
44.97  2.016  11
55.12  1.666  13
55.56  1.654  17
55.64  1.652  9
55.79  1.648  9
65.13  1.432  11

Atomic structure:
```
data_LaCoSbPbO6
_chemical_formula_sum 'La2 Co2 Sb2 Pb2 O12'
_cell_length_a 5.7222
_cell_length_b 5.7938
_cell_length_c 9.8811
_cell_angle_alpha 90.00
_cell_angle_beta 125.31
_cell_angle_gamma 90.00
_symmetry_space_group_name_H-M 'P 1'
_symmetry_Int_Tables_number 1
loop_
_symmetry_equiv_pos_as_xyz
'x,y,z'
loop_
_atom_site_label
_atom_site_fract_x
_atom_site_fract_y
_atom_site_fract_z
_atom_site_occupancy
La1 0.0000 0.2022 0.0000 1
La2 0.0000 0.7978 0.5000 1
Co1 0.7606 0.2569 0.2499 1
Co2 0.7606 0.7431 0.7499 1
Sb1 0.2637 0.2557 0.7521 1
Sb2 0.2637 0.7443 0.2521 1
Pb1 0.5160 0.2743 0.4988 1
Pb2 0.5160 0.7257 0.9988 1
O1 0.0267 0.4600 0.2068 1
O2 0.0267 0.5400 0.7068 1
O3 0.0881 0.2237 0.5075 1
O4 0.0881 0.7763 0.0075 1
O5 0.4146 0.2621 0.9945 1
O6 0.4146 0.7379 0.4945 1
O7 0.5179 0.0187 0.2928 1
O8 0.5179 0.9813 0.7928 1
O9 0.5947 0.4504 0.7980 1
O10 0.5947 0.5496 0.2980 1
O11 0.9563 0.0367 0.7151 1
O12 0.9563 0.9633 0.2151 1
```

***

No. 3
Calculated powder diffraction line list
Compound: LaPuCo2O8
Radiation: Cu Kα, 1.54184 Å
Structure: the PBE+U geometry in Alexandria
Kinematic intensities with the Lorentz-polarization factor, no thermal factor.

Top 10 peaks for 5° ≤ 2θ ≤ 70°, sorted by position:
Position (°2θ)  d [Å]  I_rel
18.40  4.822  52
24.78  3.593  100
31.04  2.881  18
32.70  2.739  78
35.33  2.541  24
40.11  2.248  14
48.90  1.863  63
50.82  1.797  23
57.33  1.607  19
61.75  1.502  18

Atomic structure:
```
data_LaPuCo2O8
_chemical_formula_sum 'La1 Pu1 Co2 O8'
_cell_length_a 6.0329
_cell_length_b 6.0329
_cell_length_c 6.0329
_cell_angle_alpha 106.89
_cell_angle_beta 106.89
_cell_angle_gamma 114.77
_symmetry_space_group_name_H-M 'P 1'
_symmetry_Int_Tables_number 1
loop_
_symmetry_equiv_pos_as_xyz
'x,y,z'
loop_
_atom_site_label
_atom_site_fract_x
_atom_site_fract_y
_atom_site_fract_z
_atom_site_occupancy
La1 0.0000 0.0000 0.0000 1
Pu1 0.7500 0.2500 0.5000 1
Co1 0.2500 0.7500 0.5000 1
Co2 0.5000 0.5000 0.0000 1
O1 0.0535 0.3788 0.3253 1
O2 0.0535 0.7281 0.6747 1
O3 0.1269 0.3280 0.7989 1
O4 0.2719 0.9465 0.3253 1
O5 0.5291 0.3280 0.2011 1
O6 0.6212 0.9465 0.6747 1
O7 0.6720 0.4709 0.7989 1
O8 0.6720 0.8731 0.2011 1
```

***

No. 4
Calculated powder diffraction line list
Compound: La4Co3ReO12
Radiation: Cu Kα, 1.54184 Å
Structure: the PBE+U geometry in Alexandria
Kinematic intensities with the Lorentz-polarization factor, no thermal factor.

Top 10 peaks for 5° ≤ 2θ ≤ 70°, sorted by position:
Position (°2θ)  d [Å]  I_rel
25.50  3.493  12
31.98  2.798  100
32.72  2.737  51
39.75  2.268  9
44.76  2.025  14
46.94  1.936  31
56.54  1.628  15
57.93  1.592  37
66.87  1.399  15
68.57  1.369  9

Atomic structure:
```
data_La4Co3ReO12
_chemical_formula_sum 'La4 Co3 Re1 O12'
_cell_length_a 5.4745
_cell_length_b 5.4745
_cell_length_c 8.0987
_cell_angle_alpha 90.00
_cell_angle_beta 90.00
_cell_angle_gamma 90.00
_symmetry_space_group_name_H-M 'P 1'
_symmetry_Int_Tables_number 1
loop_
_symmetry_equiv_pos_as_xyz
'x,y,z'
loop_
_atom_site_label
_atom_site_fract_x
_atom_site_fract_y
_atom_site_fract_z
_atom_site_occupancy
La1 0.0000 0.5000 0.2218 1
La2 0.0000 0.5000 0.7782 1
La3 0.5000 0.0000 0.2218 1
La4 0.5000 0.0000 0.7782 1
Co1 0.0000 0.0000 0.0000 1
Co2 0.0000 0.0000 0.5000 1
Co3 0.5000 0.5000 0.0000 1
Re1 0.5000 0.5000 0.5000 1
O1 0.0000 0.0000 0.2388 1
O2 0.0000 0.0000 0.7612 1
O3 0.2491 0.2491 0.0000 1
O4 0.2491 0.7509 0.0000 1
O5 0.2546 0.2546 0.5000 1
O6 0.2546 0.7454 0.5000 1
O7 0.5000 0.5000 0.2553 1
O8 0.5000 0.5000 0.7447 1
O9 0.7454 0.2546 0.5000 1
O10 0.7454 0.7454 0.5000 1
O11 0.7509 0.2491 0.0000 1
O12 0.7509 0.7509 0.0000 1
```

***

No. 5
Calculated powder diffraction line list
Compound: La5CoRe3O16
Radiation: Cu Kα, 1.54184 Å
Structure: the PBE+U geometry in Alexandria
Kinematic intensities with the Lorentz-polarization factor, no thermal factor.

Top 10 peaks for 5° ≤ 2θ ≤ 70°, sorted by position:
Position (°2θ)  d [Å]  I_rel
18.35  4.834  33
28.15  3.170  88
29.64  3.014  67
31.49  2.841  100
33.08  2.708  32
34.46  2.602  23
44.79  2.023  37
45.51  1.993  25
54.63  1.680  24
55.81  1.647  28

Atomic structure:
```
data_La5CoRe3O16
_chemical_formula_sum 'La5 Co1 Re3 O16'
_cell_length_a 5.6927
_cell_length_b 5.6931
_cell_length_c 10.2363
_cell_angle_alpha 93.57
_cell_angle_beta 93.60
_cell_angle_gamma 90.61
_symmetry_space_group_name_H-M 'P 1'
_symmetry_Int_Tables_number 1
loop_
_symmetry_equiv_pos_as_xyz
'x,y,z'
loop_
_atom_site_label
_atom_site_fract_x
_atom_site_fract_y
_atom_site_fract_z
_atom_site_occupancy
La1 0.0000 0.0000 0.0000 1
La2 0.0263 0.5135 0.6984 1
La3 0.4924 0.9677 0.2920 1
La4 0.5076 0.0323 0.7080 1
La5 0.9737 0.4865 0.3016 1
Co1 0.5000 0.5000 0.5000 1
Re1 0.0000 0.0000 0.5000 1
Re2 0.4451 0.4458 0.1061 1
Re3 0.5549 0.5542 0.8939 1
O1 0.0779 0.0742 0.6828 1
O2 0.1870 0.6979 0.5012 1
O3 0.2186 0.2252 0.1757 1
O4 0.2294 0.7044 0.1366 1
O5 0.2862 0.1804 0.4617 1
O6 0.3043 0.7785 0.8650 1
O7 0.3051 0.3106 0.9339 1
O8 0.4516 0.4537 0.6977 1
O9 0.5484 0.5463 0.3023 1
O10 0.6949 0.6894 0.0661 1
O11 0.6957 0.2215 0.1350 1
O12 0.7138 0.8196 0.5383 1
O13 0.7706 0.2956 0.8634 1
O14 0.7814 0.7748 0.8243 1
O15 0.8130 0.3021 0.4988 1
O16 0.9221 0.9258 0.3172 1
```

***

No. 6
Calculated powder diffraction line list
Compound: La2Co2Se2O3
Radiation: Cu Kα, 1.54184 Å
Structure: the PBE+U geometry in Alexandria
Kinematic intensities with the Lorentz-polarization factor, no thermal factor.

Top 10 peaks for 5° ≤ 2θ ≤ 70°, sorted by position:
Position (°2θ)  d [Å]  I_rel
26.06  3.419  43
30.82  2.901  28
32.33  2.769  24
32.54  2.752  100
36.53  2.459  34
44.15  2.051  45
50.37  1.811  26
51.99  1.759  13
55.91  1.645  41
64.22  1.450  14

Atomic structure:
```
data_La2Co2Se2O3
_chemical_formula_sum 'La2 Co2 Se2 O3'
_cell_length_a 9.7201
_cell_length_b 9.7201
_cell_length_c 9.7201
_cell_angle_alpha 155.63
_cell_angle_beta 155.63
_cell_angle_gamma 34.73
_symmetry_space_group_name_H-M 'P 1'
_symmetry_Int_Tables_number 1
loop_
_symmetry_equiv_pos_as_xyz
'x,y,z'
loop_
_atom_site_label
_atom_site_fract_x
_atom_site_fract_y
_atom_site_fract_z
_atom_site_occupancy
La1 0.1842 0.1842 0.0000 1
La2 0.8158 0.8158 0.0000 1
Co1 0.0000 0.5000 0.5000 1
Co2 0.5000 0.0000 0.5000 1
Se1 0.4044 0.4044 0.0000 1
Se2 0.5956 0.5956 0.0000 1
O1 0.0000 0.0000 0.0000 1
O2 0.2500 0.7500 0.5000 1
O3 0.7500 0.2500 0.5000 1
```

***

No. 7
Calculated powder diffraction line list
Compound: La2CoSiO2
Radiation: Cu Kα, 1.54184 Å
Structure: the PBE+U geometry in Alexandria
Kinematic intensities with the Lorentz-polarization factor, no thermal factor.

Top 10 peaks for 5° ≤ 2θ ≤ 70°, sorted by position:
Position (°2θ)  d [Å]  I_rel
12.81  6.910  16
22.52  3.948  37
25.79  3.455  8
32.06  2.792  51
34.50  2.600  100
41.59  2.171  21
45.98  1.974  26
51.78  1.766  8
58.73  1.572  42
63.31  1.469  14

Atomic structure:
```
data_La2CoSiO2
_chemical_formula_sum 'La2 Co1 Si1 O2'
_cell_length_a 3.9481
_cell_length_b 3.9481
_cell_length_c 6.9100
_cell_angle_alpha 90.00
_cell_angle_beta 90.00
_cell_angle_gamma 90.00
_symmetry_space_group_name_H-M 'P 1'
_symmetry_Int_Tables_number 1
loop_
_symmetry_equiv_pos_as_xyz
'x,y,z'
loop_
_atom_site_label
_atom_site_fract_x
_atom_site_fract_y
_atom_site_fract_z
_atom_site_occupancy
La1 0.0000 0.0000 0.2393 1
La2 0.0000 0.0000 0.7607 1
Co1 0.5000 0.5000 0.0000 1
Si1 0.5000 0.5000 0.5000 1
O1 0.0000 0.5000 0.0000 1
O2 0.5000 0.0000 0.0000 1
```

***

No. 8
Calculated powder diffraction line list
Compound: SrLaCoO4
Radiation: Cu Kα, 1.54184 Å
Structure: the PBE+U geometry in Alexandria
Kinematic intensities with the Lorentz-polarization factor, no thermal factor.

Top 10 peaks for 5° ≤ 2θ ≤ 70°, sorted by position:
Position (°2θ)  d [Å]  I_rel
14.16  6.255  25
31.47  2.842  100
31.64  2.828  99
32.70  2.738  72
32.82  2.729  71
43.40  2.085  25
43.95  2.060  29
44.04  2.056  28
46.77  1.942  38
47.25  1.924  37

Atomic structure:
```
data_SrLaCoO4
_chemical_formula_sum 'Sr2 La2 Co2 O8'
_cell_length_a 3.8847
_cell_length_b 6.8246
_cell_length_c 7.6956
_cell_angle_alpha 106.38
_cell_angle_beta 90.19
_cell_angle_gamma 106.42
_symmetry_space_group_name_H-M 'P 1'
_symmetry_Int_Tables_number 1
loop_
_symmetry_equiv_pos_as_xyz
'x,y,z'
loop_
_atom_site_label
_atom_site_fract_x
_atom_site_fract_y
_atom_site_fract_z
_atom_site_occupancy
Sr1 0.0000 0.0000 0.0000 1
Sr2 0.0032 0.9994 0.4990 1
La1 0.2826 0.5624 0.1377 1
La2 0.2862 0.5621 0.6404 1
Co1 0.6386 0.2731 0.8173 1
Co2 0.6417 0.2787 0.3186 1
O1 0.1476 0.2920 0.8227 1
O2 0.1510 0.2959 0.3226 1
O3 0.4707 0.9344 0.7303 1
O4 0.4729 0.9439 0.2368 1
O5 0.6448 0.2875 0.0767 1
O6 0.6511 0.2935 0.5667 1
O7 0.8053 0.6099 0.9055 1
O8 0.8062 0.6046 0.3976 1
```

***

No. 9
Calculated powder diffraction line list
Compound: SrLaCoO4
Radiation: Cu Kα, 1.54184 Å
Structure: the PBE+U geometry in Alexandria
Kinematic intensities with the Lorentz-polarization factor, no thermal factor.

Top 10 peaks for 5° ≤ 2θ ≤ 70°, sorted by position:
Position (°2θ)  d [Å]  I_rel
24.09  3.694  15
31.50  2.840  100
32.60  2.747  36
32.94  2.719  36
42.94  2.106  19
44.05  2.056  14
47.02  1.933  38
57.48  1.603  18
57.92  1.592  19
65.77  1.420  16

Atomic structure:
```
data_SrLaCoO4
_chemical_formula_sum 'Sr4 La4 Co4 O16'
_cell_length_a 5.4384
_cell_length_b 5.4940
_cell_length_c 12.5594
_cell_angle_alpha 90.00
_cell_angle_beta 90.02
_cell_angle_gamma 90.00
_symmetry_space_group_name_H-M 'P 1'
_symmetry_Int_Tables_number 1
loop_
_symmetry_equiv_pos_as_xyz
'x,y,z'
loop_
_atom_site_label
_atom_site_fract_x
_atom_site_fract_y
_atom_site_fract_z
_atom_site_occupancy
Sr1 0.2499 0.0050 0.1063 1
Sr2 0.2499 0.4950 0.6063 1
Sr3 0.7501 0.5050 0.3937 1
Sr4 0.7501 0.9950 0.8937 1
La1 0.2495 0.5129 0.8874 1
La2 0.2495 0.9871 0.3874 1
La3 0.7505 0.0129 0.6126 1
La4 0.7505 0.4871 0.1126 1
Co1 0.2503 0.5024 0.2508 1
Co2 0.2503 0.9976 0.7508 1
Co3 0.7497 0.0024 0.2492 1
Co4 0.7497 0.4976 0.7492 1
O1 0.0075 0.2441 0.7576 1
O2 0.0075 0.2559 0.2576 1
O3 0.2496 0.0148 0.5768 1
O4 0.2496 0.4852 0.0768 1
O5 0.2497 0.5361 0.4115 1
O6 0.2497 0.9639 0.9115 1
O7 0.4973 0.7452 0.2423 1
O8 0.4973 0.7548 0.7423 1
O9 0.5027 0.2452 0.2577 1
O10 0.5027 0.2548 0.7577 1
O11 0.7503 0.0361 0.0885 1
O12 0.7503 0.4639 0.5885 1
O13 0.7504 0.5148 0.9232 1
O14 0.7504 0.9852 0.4232 1
O15 0.9925 0.7441 0.7424 1
O16 0.9925 0.7559 0.2424 1
```

***

No. 10
Calculated powder diffraction line list
Compound: Sr4LaCo5O15
Radiation: Cu Kα, 1.54184 Å
Structure: the PBE+U geometry in Alexandria
Kinematic intensities with the Lorentz-polarization factor, no thermal factor.

Top 10 peaks for 5° ≤ 2θ ≤ 70°, sorted by position:
Position (°2θ)  d [Å]  I_rel
32.38  2.765  26
32.50  2.755  26
32.78  2.732  100
40.25  2.241  10
46.53  1.952  38
47.54  1.912  17
58.01  1.590  19
58.16  1.586  19
58.74  1.572  19
68.72  1.366  20

Atomic structure:
```
data_Sr4LaCo5O15
_chemical_formula_sum 'Sr4 La1 Co5 O15'
_cell_length_a 8.5868
_cell_length_b 8.5868
_cell_length_c 6.7253
_cell_angle_alpha 104.02
_cell_angle_beta 104.02
_cell_angle_gamma 37.43
_symmetry_space_group_name_H-M 'P 1'
_symmetry_Int_Tables_number 1
loop_
_symmetry_equiv_pos_as_xyz
'x,y,z'
loop_
_atom_site_label
_atom_site_fract_x
_atom_site_fract_y
_atom_site_fract_z
_atom_site_occupancy
Sr1 0.0987 0.0987 0.4030 1
Sr2 0.3013 0.3013 0.1981 1
Sr3 0.6987 0.6987 0.8019 1
Sr4 0.9013 0.9013 0.5970 1
La1 0.5000 0.5000 0.0000 1
Co1 0.1005 0.1005 0.9009 1
Co2 0.3001 0.3001 0.6971 1
Co3 0.5000 0.5000 0.5000 1
Co4 0.6999 0.6999 0.3029 1
Co5 0.8995 0.8995 0.0991 1
O1 0.0000 0.0000 0.0000 1
O2 0.0000 0.5000 0.5000 1
O3 0.1146 0.5942 0.8909 1
O4 0.1971 0.1971 0.8130 1
O5 0.2088 0.6956 0.2864 1
O6 0.3044 0.7912 0.7136 1
O7 0.4039 0.4039 0.5869 1
O8 0.4058 0.8854 0.1091 1
O9 0.5000 0.0000 0.5000 1
O10 0.5942 0.1146 0.8909 1
O11 0.5961 0.5961 0.4131 1
O12 0.6956 0.2088 0.2864 1
O13 0.7912 0.3044 0.7136 1
O14 0.8029 0.8029 0.1870 1
O15 0.8854 0.4058 0.1091 1
```

***

No. 11
Calculated powder diffraction line list
Compound: Sr3LaTa2Co2O12
Radiation: Cu Kα, 1.54184 Å
Structure: the PBE+U geometry in Alexandria
Kinematic intensities with the Lorentz-polarization factor, no thermal factor.

Top 10 peaks for 5° ≤ 2θ ≤ 70°, sorted by position:
Position (°2θ)  d [Å]  I_rel
16.70  5.308  6
22.89  3.886  5
31.63  2.829  100
31.83  2.812  20
45.11  2.010  12
45.52  1.993  25
56.22  1.636  16
56.39  1.632  16
56.57  1.627  16
66.03  1.415  15

Atomic structure:
```
data_Sr3LaTa2Co2O12
_chemical_formula_sum 'Sr6 La2 Ta4 Co4 O24'
_cell_length_a 5.6235
_cell_length_b 5.6487
_cell_length_c 16.0775
_cell_angle_alpha 90.00
_cell_angle_beta 90.00
_cell_angle_gamma 90.00
_symmetry_space_group_name_H-M 'P 1'
_symmetry_Int_Tables_number 1
loop_
_symmetry_equiv_pos_as_xyz
'x,y,z'
loop_
_atom_site_label
_atom_site_fract_x
_atom_site_fract_y
_atom_site_fract_z
_atom_site_occupancy
Sr1 0.0000 0.0000 0.0000 1
Sr2 0.0000 0.0000 0.2484 1
Sr3 0.0000 0.0000 0.7500 1
Sr4 0.5000 0.5000 0.2468 1
Sr5 0.5000 0.5000 0.5005 1
Sr6 0.5000 0.5000 0.7526 1
La1 0.0000 0.0000 0.5042 1
La2 0.5000 0.5000 0.0028 1
Ta1 0.0000 0.5000 0.1186 1
Ta2 0.0000 0.5000 0.3735 1
Ta3 0.0000 0.5000 0.6301 1
Ta4 0.5000 0.0000 0.8731 1
Co1 0.0000 0.5000 0.8740 1
Co2 0.5000 0.0000 0.1257 1
Co3 0.5000 0.0000 0.3717 1
Co4 0.5000 0.0000 0.6210 1
O1 0.0000 0.5000 0.2448 1
O2 0.0000 0.5000 0.4983 1
O3 0.0000 0.5000 0.7522 1
O4 0.0000 0.5000 0.9923 1
O5 0.2405 0.2505 0.6196 1
O6 0.2405 0.7495 0.6196 1
O7 0.2440 0.2517 0.3735 1
O8 0.2440 0.7483 0.3735 1
O9 0.2498 0.2574 0.8752 1
O10 0.2503 0.2598 0.1149 1
O11 0.2503 0.7402 0.1149 1
O12 0.2498 0.7426 0.8752 1
O13 0.5000 0.0000 0.2491 1
O14 0.5000 0.0000 0.4930 1
O15 0.5000 0.0000 0.7524 1
O16 0.5000 0.0000 0.9948 1
O17 0.7502 0.2574 0.8752 1
O18 0.7497 0.2598 0.1149 1
O19 0.7497 0.7402 0.1149 1
O20 0.7502 0.7426 0.8752 1
O21 0.7560 0.2517 0.3735 1
O22 0.7560 0.7483 0.3735 1
O23 0.7595 0.2505 0.6196 1
O24 0.7595 0.7495 0.6196 1
```